Calculated powder X-ray diffraction pattern of Mg6Al3Ga for a wavelength of 1.5418 Å, from the GGA-PBE geometry in Alexandria.

Main lines, by angle (2θ = 5–70°):
hkl	2θ/deg	d (Å)	I_rel
0 0 1	12.68	6.983	38
3 1 -1	31.27	2.860	32
1 1 2	33.06	2.710	48
2 2 0	35.19	2.550	34
2 2 -1	35.75	2.512	100
3 1 1	37.00	2.430	55
4 0 -2	39.55	2.278	83
1 1 -3	40.27	2.239	44

Atomic structure:
abc: 9.9472 6.0219 7.2384
angles: 90.00 105.26 90.00
Space group C2/m (No. 12)
Symmetry-distinct sites (fractional):
Mg1 0.1486 0.0000 0.4182
Mg2 0.1531 0.2490 0.8046
Al1 0.0000 0.5000 0.5000
Al2 0.1007 0.5000 0.1755
Ga1 0.0000 0.0000 0.0000